Calculated PXRD pattern
Compound: Nd6Ho4Sc
Radiation: copper Kα
Structure: a GGA-PBE-relaxed structure

The 12 most intense peaks (2θ from 10° to 80°), low angle first:
2θ (°)	I/Imax	h k l
30.2	63	1 1 7
30.5	64	0 2 7
30.8	83	2 0 0
31.8	100	1 3 0
32.0	45	1 3 1
33.1	82	1 1 8
43.9	47	2 2 7
47.0	16	0 4 8
55.4	22	3 3 0
56.1	20	1 5 7
56.2	18	3 1 8
57.3	20	2 4 8

```
data_Nd6Ho4Sc
_symmetry_space_group_name_H-M 'C m c m'
_symmetry_Int_Tables_number 63
_symmetry_space_group_name_Hall '-C 2c 2'
_cell_length_a 5.8082
_cell_length_b 9.6481
_cell_length_c 25.8284
_cell_angle_alpha 90.00
_cell_angle_beta 90.00
_cell_angle_gamma 90.00
loop_
_atom_site_label
_atom_site_type_symbol
_atom_site_fract_x
_atom_site_fract_y
_atom_site_fract_z
Nd1 Nd 0.0000 0.0000 0.0000
Nd2 Nd 0.0000 0.0436 0.2500
Nd3 Nd 0.0000 0.3010 0.6040
Nd4 Nd 0.0000 0.3734 0.1832
Ho1 Ho 0.0000 0.0410 0.1236
Ho2 Ho 0.0000 0.3488 0.0446
Sc1 Sc 0.0000 0.2936 0.7500
```